For Ca2UFeO6, a PBE+U-relaxed structure gives the simulated powder diffractogram in this record (copper Kα).
Intensities are scaled so that the largest is 100.

```
data_Ca2UFeO6
_symmetry_space_group_name_H-M 'P 1'
_symmetry_Int_Tables_number 1
_cell_length_a 5.688
_cell_length_b 5.688
_cell_length_c 5.688
_cell_angle_alpha 60.95
_cell_angle_beta 60.95
_cell_angle_gamma 60.95
loop_
_symmetry_equiv_pos_as_xyz
'x,y,z'
loop_
_atom_site_label
_atom_site_type_symbol
_atom_site_fract_x
_atom_site_fract_y
_atom_site_fract_z
Ca1 Ca 0.226 0.226 0.226
Ca2 Ca 0.774 0.774 0.774
U1 U 0.500 0.500 0.500
Fe1 Fe 0.000 0.000 0.000
O1 O 0.154 0.760 0.348
O2 O 0.240 0.652 0.846
O3 O 0.348 0.154 0.760
O4 O 0.652 0.846 0.240
O5 O 0.760 0.348 0.154
O6 O 0.846 0.240 0.652
```

Largest 12 diffraction maxima, most intense first, 15° ≤ 2θ ≤ 90°:
21.9°, d = 4.050 Å, I 100.0
31.5°, d = 2.843 Å, I 91.1
31.0°, d = 2.885 Å, I 90.3
18.9°, d = 4.699 Å, I 61.4
44.8°, d = 2.025 Å, I 50.8
36.8°, d = 2.445 Å, I 48.4
19.3°, d = 4.611 Å, I 39.8
55.4°, d = 1.657 Å, I 39.5
50.7°, d = 1.801 Å, I 32.0
55.1°, d = 1.665 Å, I 27.7
50.1°, d = 1.822 Å, I 20.9
73.6°, d = 1.286 Å, I 14.7